The following is a simulated powder diffractogram of YPa2SiN5. It was derived from a GGA-PBE-relaxed structure, using Cu Kα, 1.54184 Å.
Kinematic intensities with the Lorentz-polarization factor, no thermal factor.

Top 6 peaks for 5 to 70 degrees two-theta, by intensity:
| d/Å | Rel. int. | hkl |
| --- | --- | --- |
| 2.591 | 100.0 | 2 1 1 |
| 2.819 | 85.5 | 2 0 1 |
| 5.494 | 82.9 | 0 0 1 |
| 2.007 | 58.4 | 2 1 2 |
| 2.938 | 50.9 | 2 1 0 |
| 2.747 | 38.9 | 0 0 2 |

Crystal structure
Cell lengths 6.5700, 6.5700, 5.4945 Å; angles 90.00, 90.00, 90.00 degrees
Element x y z (fractional)
Y1 0.0000 0.0000 0.0000
Y2 0.5000 0.5000 0.0000
Pa1 0.1770 0.3230 0.5000
Pa2 0.3230 0.8230 0.5000
Pa3 0.6770 0.1770 0.5000
Pa4 0.8230 0.6770 0.5000
Si1 0.0000 0.5000 0.0000
Si2 0.5000 0.0000 0.0000
N1 0.0000 0.0000 0.5000
N2 0.1400 0.6400 0.2347
N3 0.1400 0.6400 0.7653
N4 0.3600 0.1400 0.2347
N5 0.3600 0.1400 0.7653
N6 0.5000 0.5000 0.5000
N7 0.6400 0.8600 0.2347
N8 0.6400 0.8600 0.7653
N9 0.8600 0.3600 0.2347
N10 0.8600 0.3600 0.7653